Record 1
This entry pairs a crystal structure of Y2Ga6Cu with its theoretical powder XRD pattern. Radiation: Cu Ka. Structure: a structure optimized by DFT (PBE).
Intensities are scaled so that the largest is 100.

abc: 3.745 11.734 11.734
angles: 20.58 90.00 90.00
Fractional coordinates of all 9 atoms:
Y 0.000 0.000 0.000
Y 0.000 0.334 0.334
Ga 0.000 0.624 0.624
Ga 0.000 0.737 0.737
Ga 0.500 0.112 0.112
Ga 0.500 0.223 0.223
Ga 0.500 0.445 0.445
Ga 0.500 0.882 0.882
Cu 0.500 0.550 0.550

Most intense lines, 5 to 70 degrees two-theta, low angle first:
- 2θ = 33.4°, I 21
- 2θ = 34.2°, I 100
- 2θ = 37.6°, I 16
- 2θ = 41.3°, I 29
- 2θ = 42.4°, I 15
- 2θ = 43.2°, I 30
- 2θ = 48.2°, I 15
- 2θ = 48.6°, I 21
- 2θ = 65.6°, I 14
- 2θ = 67.0°, I 16



Record 2
This entry pairs a crystal structure of BaIn4Au2 with its theoretical powder XRD pattern. Radiation: Cu Ka. Structure: a structure optimized by DFT (PBE).
Intensities are scaled so that the largest is 100.

abc: 19.350 4.885 7.628
angles: 90.00 90.00 90.00
Fractional coordinates of all 28 atoms:
Ba 0.137 0.250 0.014
Ba 0.363 0.750 0.514
Ba 0.637 0.250 0.486
Ba 0.863 0.750 0.986
In 0.035 0.750 0.818
In 0.073 0.250 0.497
In 0.185 0.750 0.322
In 0.191 0.750 0.718
In 0.309 0.250 0.218
In 0.315 0.250 0.822
In 0.427 0.750 0.997
In 0.465 0.250 0.318
In 0.535 0.750 0.682
In 0.573 0.250 0.003
In 0.685 0.750 0.178
In 0.691 0.750 0.782
In 0.809 0.250 0.282
In 0.815 0.250 0.678
In 0.927 0.750 0.503
In 0.965 0.250 0.182
Au 0.039 0.750 0.253
Au 0.221 0.250 0.524
Au 0.279 0.750 0.024
Au 0.461 0.250 0.753
Au 0.539 0.750 0.247
Au 0.721 0.250 0.976
Au 0.779 0.750 0.476
Au 0.961 0.250 0.747

Most intense lines, 5 to 70 degrees two-theta, low angle first:
- 2θ = 25.1°, I 17
- 2θ = 31.2°, I 100
- 2θ = 31.7°, I 51
- 2θ = 33.3°, I 21
- 2θ = 34.5°, I 28
- 2θ = 36.8°, I 55
- 2θ = 40.3°, I 16
- 2θ = 41.1°, I 53
- 2θ = 41.7°, I 17
- 2θ = 51.3°, I 18



Record 3
This entry pairs a crystal structure of KIn4Sn4 with its theoretical powder XRD pattern. Radiation: Cu Ka. Structure: a structure optimized by DFT (PBE).
Intensities are scaled so that the largest is 100.

abc: 7.689 7.689 10.022
angles: 90.00 90.00 90.00
Fractional coordinates of all 18 atoms:
K 0.250 0.750 0.250
K 0.750 0.250 0.750
In 0.020 0.250 0.105
In 0.250 0.020 0.605
In 0.250 0.480 0.605
In 0.480 0.250 0.105
In 0.520 0.750 0.895
In 0.750 0.520 0.395
In 0.750 0.980 0.395
In 0.980 0.750 0.895
Sn 0.047 0.250 0.405
Sn 0.250 0.047 0.905
Sn 0.250 0.453 0.905
Sn 0.453 0.250 0.405
Sn 0.547 0.750 0.595
Sn 0.750 0.547 0.095
Sn 0.750 0.953 0.095
Sn 0.953 0.750 0.595

Most intense lines, 5 to 70 degrees two-theta, low angle first:
- 2θ = 14.5°, I 57
- 2θ = 27.4°, I 100
- 2θ = 29.1°, I 55
- 2θ = 33.0°, I 84
- 2θ = 35.8°, I 26
- 2θ = 36.2°, I 31
- 2θ = 37.5°, I 75
- 2θ = 44.6°, I 62
- 2θ = 47.3°, I 30
- 2θ = 49.5°, I 42